Simulated X-ray powder pattern of RbMgAgP for Cu Kα (weighted mean of Kα1 and Kα2), from a PBE-relaxed structure.
Kinematic intensities with the Lorentz-polarization factor, no thermal factor.

a = 4.175 Å, b = 4.175 Å, c = 13.271 Å
α = 90.00°, β = 90.00°, γ = 90.00°
Space group P4/nmm (No. 129, origin choice 2)
Unique sites:
Rb 0.250 0.250 0.247 x2
Mg 0.250 0.750 0.500 x2
Ag 0.250 0.750 0.000 x2
P 0.250 0.250 0.615 x2

Top 8 peaks for 2θ = 10–80°, sorted by position:
Position (°2θ)	intensity
22.3	24
26.9	34
29.4	36
31.0	29
33.2	100
43.3	31
51.6	31
51.7	21